1.
Diffraction record for NdAl2Au2. The powder XRD pattern is theoretical, not measured: it uses a DFT-relaxed cell (PBE, the Materials Project) and Cu Kα (λ = 1.5418 Å).
Intensities are scaled so that the largest is 1000.

Crystal structure
```
10
Lattice="4.463 0.000 0.000 0.000 4.463 0.000 0.000 0.000 10.382" Properties=species:S:1:pos:R:3 pbc="T T T"
Nd 1.116 1.116 2.581
Nd 3.347 3.347 7.801
Al 1.116 1.116 9.046
Al 1.116 3.347 5.191
Al 3.347 1.116 5.191
Al 3.347 3.347 1.336
Au 1.116 1.116 6.539
Au 1.116 3.347 0.000
Au 3.347 1.116 0.000
Au 3.347 3.347 3.843
```

Largest 8 diffraction maxima, by angle, 2θ = 5–70°:
- 2θ = 25.74°, I 286
- 2θ = 26.34°, I 363
- 2θ = 29.58°, I 750
- 2θ = 32.75°, I 591
- 2θ = 33.22°, I 1000
- 2θ = 40.42°, I 709
- 2θ = 45.23°, I 272
- 2θ = 52.96°, I 312



2.
Diffraction record for KNdZrSnO6. The powder XRD pattern is theoretical, not measured: it uses a DFT-relaxed cell (PBE, the Materials Project) and Cu Kα (λ = 1.5418 Å).
Intensities are scaled so that the largest is 1000.

Crystal structure
```
10
Lattice="0.000 4.130 4.130 4.130 0.000 4.130 4.130 4.130 0.000" Properties=species:S:1:pos:R:3 pbc="T T T"
K 0.000 0.000 0.000
Nd 4.130 4.130 4.130
Zr 6.195 6.195 6.195
Sn 2.065 2.065 2.065
O 2.065 2.065 0.016
O 2.065 0.016 2.065
O 4.114 2.065 2.065
O 0.016 2.065 2.065
O 2.065 4.114 2.065
O 2.065 2.065 4.114
```

Largest 8 diffraction maxima, by angle, 2θ = 5–70°:
- 2θ = 18.61°, I 186
- 2θ = 30.61°, I 1000
- 2θ = 36.06°, I 112
- 2θ = 43.84°, I 336
- 2θ = 48.01°, I 52
- 2θ = 54.42°, I 402
- 2θ = 58.02°, I 41
- 2θ = 63.74°, I 205



3.
Diffraction record for PaFe3. The powder XRD pattern is theoretical, not measured: it uses a DFT-relaxed cell (PBE, the Materials Project) and Cu Kα (λ = 1.5418 Å).
Intensities are scaled so that the largest is 1000.

Crystal structure
```
8
Lattice="5.385 0.000 0.000 -2.692 4.663 0.000 0.000 0.000 4.701" Properties=species:S:1:pos:R:3 pbc="T T T"
Pa 0.000 3.109 1.175
Pa 2.692 1.554 3.526
Fe 0.000 1.453 3.526
Fe -1.434 3.937 3.526
Fe 1.258 0.727 1.175
Fe 1.434 3.937 3.526
Fe 4.127 0.727 1.175
Fe 2.692 3.210 1.175
```

Largest 8 diffraction maxima, by angle, 2θ = 5–70°:
- 2θ = 19.03°, I 152
- 2θ = 26.93°, I 674
- 2θ = 33.28°, I 246
- 2θ = 38.29°, I 321
- 2θ = 38.61°, I 231
- 2θ = 43.31°, I 1000
- 2θ = 51.62°, I 153
- 2θ = 55.51°, I 158



4.
Diffraction record for BaB2O4. The powder XRD pattern is theoretical, not measured: it uses a DFT-relaxed cell (PBE, the Materials Project) and Cu Kα (λ = 1.5418 Å).
Intensities are scaled so that the largest is 1000.

Crystal structure
```
42
Lattice="6.336 3.658 4.365 -6.336 3.658 4.365 0.000 -7.316 4.365" Properties=species:S:1:pos:R:3 pbc="T T T"
Ba -1.821 -3.619 4.365
Ba -4.112 -0.272 6.547
Ba -2.224 3.386 4.365
Ba 2.292 -3.425 6.547
Ba 4.044 0.233 4.365
Ba 1.821 3.697 6.547
B -5.410 2.555 4.722
B 0.493 -5.962 4.722
B -1.372 -0.464 3.801
B 1.088 -0.956 3.801
B 0.284 1.420 3.801
B -0.926 -1.104 6.904
B -0.493 1.354 6.904
B 1.419 -0.250 6.904
B -1.088 -0.956 10.347
B -0.284 1.420 10.348
B 1.372 -0.464 10.348
B 4.917 3.408 4.722
O -0.896 -6.257 4.750
O -2.613 -0.932 3.862
O -4.523 1.566 4.647
O -4.971 3.905 4.750
O -0.266 -1.362 3.776
O 0.905 -4.701 4.647
O -1.047 0.911 3.776
O -1.812 -2.092 6.830
O 2.114 -1.796 3.862
O 1.313 0.451 3.776
O -1.365 0.247 6.932
O 0.499 2.729 3.862
O 0.469 -1.305 6.932
O -2.114 -1.796 10.409
O -0.905 2.615 6.830
O 0.896 1.059 6.932
O -1.313 0.451 10.323
O 2.718 -0.524 6.830
O 0.266 -1.362 10.323
O 3.618 3.134 4.647
O -0.499 2.729 10.409
O 1.047 0.911 10.323
O 5.867 2.353 4.750
O 2.613 -0.932 10.409
```

Largest 8 diffraction maxima, by angle, 2θ = 5–70°:
- 2θ = 13.98°, I 251
- 2θ = 24.33°, I 671
- 2θ = 24.77°, I 1000
- 2θ = 28.17°, I 168
- 2θ = 28.45°, I 168
- 2θ = 35.00°, I 492
- 2θ = 43.08°, I 525
- 2θ = 48.58°, I 227



5.
Diffraction record for Bi8Te7. The powder XRD pattern is theoretical, not measured: it uses a DFT-relaxed cell (PBE, the Materials Project) and Cu Kα (λ = 1.5418 Å).
Intensities are scaled so that the largest is 1000.

Crystal structure
```
45
Lattice="4.502 0.000 0.000 -2.251 3.899 0.000 0.000 0.000 92.553" Properties=species:S:1:pos:R:3 pbc="T T T"
Bi 0.000 0.000 6.276
Bi 0.000 0.000 12.413
Bi 0.000 0.000 30.898
Bi 0.000 0.000 36.985
Bi 0.000 0.000 55.568
Bi 0.000 0.000 61.655
Bi 0.000 0.000 80.141
Bi 0.000 0.000 86.277
Bi 0.000 2.599 1.994
Bi 0.000 2.599 7.949
Bi 0.000 2.599 26.549
Bi 0.000 2.599 32.572
Bi 0.000 2.599 45.434
Bi 0.000 2.599 51.485
Bi 0.000 2.599 70.012
Bi 0.000 2.599 76.103
Bi 2.251 1.300 16.451
Bi 2.251 1.300 22.542
Bi 2.251 1.300 41.069
Bi 2.251 1.300 47.119
Bi 2.251 1.300 59.981
Bi 2.251 1.300 66.004
Bi 2.251 1.300 84.605
Bi 2.251 1.300 90.559
Te 0.000 0.000 0.000
Te 0.000 0.000 18.143
Te 0.000 0.000 24.552
Te 0.000 0.000 42.785
Te 0.000 0.000 49.768
Te 0.000 0.000 68.001
Te 0.000 0.000 74.411
Te 0.000 2.599 14.426
Te 0.000 2.599 20.837
Te 0.000 2.599 39.028
Te 0.000 2.599 57.287
Te 0.000 2.599 64.283
Te 0.000 2.599 81.858
Te 0.000 2.599 88.856
Te 2.251 1.300 3.698
Te 2.251 1.300 10.695
Te 2.251 1.300 28.271
Te 2.251 1.300 35.266
Te 2.251 1.300 53.526
Te 2.251 1.300 71.716
Te 2.251 1.300 78.127
```

Largest 8 diffraction maxima, by angle, 2θ = 5–70°:
- 2θ = 18.21°, I 86
- 2θ = 27.05°, I 1000
- 2θ = 37.16°, I 374
- 2θ = 40.06°, I 378
- 2θ = 49.01°, I 202
- 2θ = 55.79°, I 118
- 2θ = 61.03°, I 137
- 2θ = 65.07°, I 213



6.
Diffraction record for NaNb4Bi5O18. The powder XRD pattern is theoretical, not measured: it uses a DFT-relaxed cell (PBE, the Materials Project) and Cu Kα (λ = 1.5418 Å).
Intensities are scaled so that the largest is 1000.

Crystal structure
```
28
Lattice="2.772 -12.598 0.000 2.772 12.598 0.000 -0.039 0.000 5.604" Properties=species:S:1:pos:R:3 pbc="T T T"
Na 0.000 0.000 0.000
Nb 2.794 10.491 2.639
Nb 2.739 2.128 5.476
Nb 2.739 -2.128 5.476
Nb 2.794 -10.491 2.639
Bi 2.655 7.563 0.129
Bi 2.973 5.032 2.932
Bi 2.716 0.000 2.923
Bi 2.973 -5.032 2.932
Bi 2.655 -7.563 0.129
O 1.373 6.269 1.391
O 1.465 6.257 4.192
O 0.493 0.000 2.407
O 2.418 8.637 2.505
O 1.158 2.254 0.828
O 1.737 2.179 3.593
O 1.158 -2.254 0.828
O 1.737 -2.179 3.593
O 3.190 3.962 5.277
O 2.399 0.000 5.135
O 1.373 -6.269 1.391
O 1.465 -6.257 4.192
O 3.974 1.660 1.313
O 4.395 1.641 4.077
O 3.190 -3.962 5.277
O 2.418 -8.637 2.505
O 3.974 -1.660 1.313
O 4.395 -1.641 4.077
```

Largest 8 diffraction maxima, by angle, 2θ = 5–70°:
- 2θ = 7.02°, I 297
- 2θ = 28.69°, I 1000
- 2θ = 28.82°, I 989
- 2θ = 31.94°, I 378
- 2θ = 32.29°, I 339
- 2θ = 35.63°, I 231
- 2θ = 48.59°, I 252
- 2θ = 48.84°, I 217